This entry pairs a crystal structure of La3VH3O8 with its computed X-ray powder pattern. Radiation: Cu Ka. Structure: a crystal structure in Alexandria, relaxed with PBE+U.

Top 12 peaks for 10 to 90 degrees two-theta, sorted by position:
Position (°2θ)	I (rel.)	index
17.92	36	1 1 0
24.88	67	1 2 -1
28.67	36	0 3 1
29.23	100	1 2 1
30.44	19	1 1 -2
31.10	17	1 3 -1
32.14	20	2 0 0
33.17	21	0 4 0
38.61	17	2 0 1
45.00	21	1 5 0
47.10	20	0 2 3
50.89	17	2 2 -3

Structural model:
abc: 5.7518 10.8029 6.4008
angles: 90.00 104.46 90.00
Atoms (fractional coordinates):
La 0.1884 0.0419 0.3026
La 0.1884 0.4581 0.3026
La 0.2780 0.2500 0.8006
La 0.7220 0.7500 0.1994
La 0.8116 0.5419 0.6974
La 0.8116 0.9581 0.6974
V 0.3061 0.7500 0.5317
V 0.6939 0.2500 0.4683
H 0.1215 0.7500 0.9092
H 0.3433 0.5421 0.9043
H 0.3433 0.9579 0.9043
H 0.6567 0.0421 0.0957
H 0.6567 0.4579 0.0957
H 0.8785 0.2500 0.0908
O 0.0395 0.6321 0.4582
O 0.0395 0.8679 0.4582
O 0.0502 0.2500 0.0944
O 0.2338 0.0212 0.9324
O 0.2338 0.4788 0.9324
O 0.4320 0.7500 0.8096
O 0.4899 0.6278 0.4081
O 0.4899 0.8722 0.4081
O 0.5101 0.1278 0.5919
O 0.5101 0.3722 0.5919
O 0.5680 0.2500 0.1904
O 0.7662 0.5212 0.0676
O 0.7662 0.9788 0.0676
O 0.9498 0.7500 0.9056
O 0.9605 0.1321 0.5418
O 0.9605 0.3679 0.5418